The following is a simulated powder diffraction line list of NaLaPrGe. It was derived from a structure optimized by DFT (PBE), using a wavelength of 1.5418 Å.
Lines closer than 0.1° are merged.

```
NaLaPrGe
1.0
0.000 3.809 3.809
3.809 0.000 3.809
3.809 3.809 0.000
Na La Pr Ge
1 1 1 1
direct
0.000 0.000 0.000
0.750 0.750 0.750
0.250 0.250 0.250
0.500 0.500 0.500
```

Top 10 peaks for 2θ from 15° to 90°, sorted by position:
2θ/deg, I/Imax
20.2, 4
23.4, 27
33.3, 100
41.0, 8
47.8, 18
53.8, 12
59.4, 37
69.8, 11
74.8, 6
79.6, 16

---

The following is a simulated powder diffraction line list of LaNdGe. It was derived from a structure optimized by DFT (PBE), using a wavelength of 1.5418 Å.
Lines closer than 0.1° are merged.

```
LaNdGe
1.0
0.000 6.147 7.031
4.703 0.000 7.031
4.703 6.147 0.000
La Nd Ge
4 4 4
direct
0.000 0.000 0.000
0.000 0.000 0.500
0.000 0.500 0.000
0.500 0.000 0.000
0.243 0.243 0.507
0.493 0.493 0.757
0.507 0.507 0.243
0.757 0.757 0.493
0.179 0.571 0.179
0.429 0.821 0.429
0.571 0.179 0.571
0.821 0.429 0.821
```

Top 10 peaks for 2θ from 15° to 90°, sorted by position:
2θ/deg, I/Imax
24.5, 38
25.3, 43
27.0, 67
30.1, 65
30.5, 100
35.1, 73
38.4, 51
40.0, 35
48.8, 32
55.7, 33

---

The following is a simulated powder diffraction line list of LaNd4Ge4. It was derived from a structure optimized by DFT (PBE), using a wavelength of 1.5418 Å.
Lines closer than 0.1° are merged.

```
LaNd4Ge4
1.0
9.454 0.000 0.000
0.000 9.454 0.000
0.000 0.000 6.049
La Nd Ge
2 8 8
direct
0.250 0.250 0.250
0.750 0.750 0.750
0.068 0.660 0.135
0.160 0.932 0.635
0.340 0.568 0.635
0.432 0.840 0.135
0.568 0.160 0.865
0.660 0.432 0.365
0.840 0.068 0.365
0.932 0.340 0.865
0.028 0.619 0.629
0.119 0.972 0.129
0.381 0.528 0.129
0.472 0.881 0.629
0.528 0.119 0.371
0.619 0.472 0.871
0.881 0.028 0.871
0.972 0.381 0.371
```

Top 10 peaks for 2θ from 15° to 90°, sorted by position:
2θ/deg, I/Imax
25.7, 44
29.9, 100
31.0, 48
33.4, 12
36.5, 25
41.4, 23
42.8, 34
45.8, 28
49.9, 18
50.6, 15

---

The following is a simulated powder diffraction line list of La5Nd5Ge6. It was derived from a structure optimized by DFT (PBE), using a wavelength of 1.5418 Å.
Lines closer than 0.1° are merged.

```
La5Nd5Ge6
1.0
6.808 0.000 0.000
0.000 7.734 4.481
0.000 -7.734 4.481
La Nd Ge
5 5 6
direct
0.000 0.000 0.000
0.000 0.504 0.751
0.000 0.751 0.504
0.500 0.000 0.752
0.500 0.752 0.000
0.251 0.085 0.418
0.251 0.418 0.085
0.500 0.502 0.502
0.749 0.085 0.418
0.749 0.418 0.085
0.000 0.146 0.751
0.000 0.357 0.357
0.000 0.751 0.146
0.500 0.148 0.148
0.500 0.359 0.749
0.500 0.749 0.359
```

Top 10 peaks for 2θ from 15° to 90°, sorted by position:
2θ/deg, I/Imax
26.2, 14
28.6, 31
30.5, 39
33.1, 100
33.3, 100
34.7, 49
48.7, 26
50.9, 30
54.5, 15
65.7, 15

---

The following is a simulated powder diffraction line list of LaNd3Ge4. It was derived from a structure optimized by DFT (PBE), using a wavelength of 1.5418 Å.
Lines closer than 0.1° are merged.

```
LaNd3Ge4
1.0
-2.064 3.322 8.217
2.064 -3.322 8.217
2.064 3.322 -8.217
La Nd Ge
1 3 4
direct
0.000 0.000 0.000
0.196 0.696 0.500
0.500 0.500 0.000
0.804 0.304 0.500
0.181 0.868 0.313
0.445 0.132 0.313
0.555 0.868 0.687
0.819 0.132 0.687
```

Top 10 peaks for 2θ from 15° to 90°, sorted by position:
2θ/deg, I/Imax
27.7, 100
30.3, 17
32.7, 15
33.6, 25
34.7, 31
34.9, 21
38.5, 26
43.9, 20
47.9, 19
66.0, 20

---

The following is a simulated powder diffraction line list of LaNdGe. It was derived from a structure optimized by DFT (PBE), using a wavelength of 1.5418 Å.
Lines closer than 0.1° are merged.

```
LaNdGe
1.0
0.000 3.620 3.620
3.620 0.000 3.620
3.620 3.620 0.000
La Nd Ge
1 1 1
direct
0.000 0.000 0.000
0.500 0.500 0.500
0.250 0.250 0.250
```

Top 10 peaks for 2θ from 15° to 90°, sorted by position:
2θ/deg, I/Imax
21.3, 11
24.6, 42
35.1, 100
43.3, 12
50.4, 18
56.9, 17
62.9, 36
74.1, 11
79.4, 8
84.7, 16

---

The following is a simulated powder diffraction line list of La11Ni4Ge6. It was derived from a structure optimized by DFT (PBE), using a wavelength of 1.5418 Å.
Lines closer than 0.1° are merged.

```
La11Ni4Ge6
1.0
9.296 -2.196 0.000
9.296 2.196 0.000
-3.918 0.000 13.617
La Ni Ge
11 4 6
direct
0.000 0.000 0.000
0.095 0.095 0.284
0.144 0.144 0.852
0.214 0.214 0.599
0.337 0.337 0.906
0.453 0.453 0.376
0.547 0.547 0.624
0.663 0.663 0.094
0.786 0.786 0.401
0.856 0.856 0.148
0.905 0.905 0.716
0.060 0.060 0.475
0.248 0.248 0.051
0.752 0.752 0.949
0.940 0.940 0.525
0.262 0.262 0.235
0.371 0.371 0.550
0.486 0.486 0.151
0.514 0.514 0.849
0.629 0.629 0.450
0.738 0.738 0.765
```

Top 10 peaks for 2θ from 15° to 90°, sorted by position:
2θ/deg, I/Imax
27.7, 38
29.2, 43
29.7, 50
30.3, 100
31.6, 39
32.1, 57
32.5, 96
33.4, 59
34.4, 57
41.1, 95

---

The following is a simulated powder diffraction line list of La3Ni7Ge4. It was derived from a structure optimized by DFT (PBE), using a wavelength of 1.5418 Å.
Lines closer than 0.1° are merged.

```
La3Ni7Ge4
1.0
7.491 -2.075 0.000
7.491 2.075 0.000
-5.311 0.000 7.572
La Ni Ge
3 7 4
direct
0.000 0.000 0.000
0.317 0.317 0.317
0.683 0.683 0.683
0.000 0.000 0.500
0.121 0.121 0.848
0.328 0.328 0.706
0.498 0.498 0.718
0.502 0.502 0.282
0.672 0.672 0.294
0.879 0.879 0.152
0.120 0.120 0.397
0.329 0.329 0.983
0.671 0.671 0.017
0.880 0.880 0.603
```

Top 10 peaks for 2θ from 15° to 90°, sorted by position:
2θ/deg, I/Imax
30.7, 55
35.6, 33
35.8, 100
36.3, 77
37.1, 88
37.5, 24
39.0, 24
42.8, 38
43.6, 77
44.3, 33

---

The following is a simulated powder diffraction line list of La5Ni3Ge3. It was derived from a structure optimized by DFT (PBE), using a wavelength of 1.5418 Å.
Lines closer than 0.1° are merged.

```
La5Ni3Ge3
1.0
8.888 0.000 0.000
-4.444 7.697 0.000
0.000 0.000 4.182
La Ni Ge
5 3 3
direct
0.000 0.762 0.000
0.238 0.238 0.000
0.333 0.667 0.000
0.667 0.333 0.000
0.762 0.000 0.000
0.000 0.433 0.000
0.433 0.000 0.000
0.567 0.567 0.000
0.000 0.322 0.500
0.322 0.000 0.500
0.678 0.678 0.500
```

Top 10 peaks for 2θ from 15° to 90°, sorted by position:
2θ/deg, I/Imax
21.2, 59
29.3, 58
30.7, 77
35.0, 41
37.7, 100
43.3, 26
54.0, 31
56.8, 20
59.3, 35
75.6, 13

---

The following is a simulated powder diffraction line list of La2Ni5Ge3. It was derived from a structure optimized by DFT (PBE), using a wavelength of 1.5418 Å.
Lines closer than 0.1° are merged.

```
La2Ni5Ge3
1.0
4.032 0.000 0.000
0.000 4.032 0.000
0.000 0.000 10.572
La Ni Ge
2 5 3
direct
0.000 0.500 0.214
0.500 0.000 0.786
0.000 0.000 0.000
0.000 0.000 0.500
0.000 0.500 0.867
0.500 0.000 0.133
0.500 0.500 0.000
0.000 0.500 0.646
0.500 0.000 0.354
0.500 0.500 0.500
```

Top 10 peaks for 2θ from 15° to 90°, sorted by position:
2θ/deg, I/Imax
31.4, 18
33.8, 44
35.8, 100
40.8, 15
45.0, 55
46.9, 18
48.6, 18
57.4, 21
65.5, 17
76.9, 20

---

The following is a simulated powder diffraction line list of La2Ni4Ge3P. It was derived from a structure optimized by DFT (PBE), using a wavelength of 1.5418 Å.
Lines closer than 0.1° are merged.

```
La2Ni4Ge3P
1.0
4.147 0.000 0.000
0.000 4.147 0.000
0.000 0.000 9.916
La Ni Ge P
2 4 3 1
direct
0.000 0.000 0.000
0.500 0.500 0.490
0.000 0.500 0.235
0.000 0.500 0.747
0.500 0.000 0.235
0.500 0.000 0.747
0.000 0.000 0.360
0.000 0.000 0.628
0.500 0.500 0.865
0.500 0.500 0.132
```

Top 10 peaks for 2θ from 15° to 90°, sorted by position:
2θ/deg, I/Imax
30.5, 21
34.7, 94
35.6, 100
43.7, 67
51.0, 22
56.9, 45
63.4, 21
64.8, 22
69.4, 17
74.9, 21

---

The following is a simulated powder diffraction line list of La2Ni4Ge3Pt. It was derived from a structure optimized by DFT (PBE), using a wavelength of 1.5418 Å.
Lines closer than 0.1° are merged.

```
La2Ni4Ge3Pt
1.0
4.193 0.000 0.000
0.000 4.193 0.000
0.000 0.000 9.959
La Ni Ge Pt
2 4 3 1
direct
0.000 0.500 0.248
0.500 0.000 0.752
0.000 0.000 0.500
0.000 0.500 0.859
0.500 0.000 0.141
0.500 0.500 0.500
0.000 0.000 0.000
0.000 0.500 0.619
0.500 0.000 0.381
0.500 0.500 0.000
```

Top 10 peaks for 2θ from 15° to 90°, sorted by position:
2θ/deg, I/Imax
34.5, 49
35.2, 100
43.2, 54
47.7, 14
50.7, 18
56.4, 23
62.7, 17
64.3, 14
68.8, 14
74.0, 23